(1)
Structure and theoretical X-ray diffraction stick pattern of Mo3O8 (DFT lattice parameters and positions (PBE+U); copper Kα).
Neutral-atom scattering factors, no anomalous dispersion.

Structural model:
Lattice parameters (Å, degrees): 6.1464 6.1464 9.8756 90.00 90.00 120.00
Space group P6_3mc (No. 186)
Symmetry-distinct sites (fractional):
Mo1 0.1684 0.3368 0.0000 [6 per cell]
O1 0.0000 0.0000 0.1103 [2 per cell]
O2 0.0403 0.5201 0.1047 [6 per cell]
O3 0.1494 0.2988 0.4036 [6 per cell]
O4 0.3333 0.6667 0.8867 [2 per cell]

Peak list (12 most intense, 10° ≤ 2θ ≤ 90°, in order of rising 2θ)
2theta  d/Å  intensity  (hkl)
16.7  5.323  9  1 0 0
18.0  4.938  100  0 0 2
18.9  4.686  44  1 0 1
34.4  2.609  11  1 1 2
34.9  2.570  45  2 0 1
38.4  2.343  22  2 0 2
43.7  2.070  40  2 0 3
50.4  1.810  11  2 0 4
58.2  1.586  20  2 0 5
60.2  1.537  15  2 2 0
63.4  1.467  17  2 2 2
77.3  1.234  9  0 0 8

(2)
Structure and theoretical X-ray diffraction stick pattern of Mo3O8 (DFT lattice parameters and positions (PBE+U); copper Kα).
Neutral-atom scattering factors, no anomalous dispersion.

Structural model:
Lattice parameters (Å, degrees): 10.3691 6.1587 6.0107 90.00 123.22 90.00
Space group C2/m (No. 12)
Symmetry-distinct sites (fractional):
Mo1 0.0000 0.0000 0.0000 [2 per cell]
Mo2 0.2500 0.2500 0.5000 [4 per cell]
O1 0.0211 0.2190 0.2443 [8 per cell]
O2 0.2360 0.0000 0.2470 [4 per cell]
O3 0.2465 0.0000 0.6928 [4 per cell]

Peak list (12 most intense, 10° ≤ 2θ ≤ 90°, in order of rising 2θ)
2theta  d/Å  intensity  (hkl)
17.7  5.024  38  1 1 0
18.3  4.853  100  2 0 -1
20.7  4.300  14  1 1 -1
33.9  2.645  15  2 0 1
34.1  2.626  29  0 2 1
35.7  2.512  14  0 0 2
41.6  2.169  18  4 0 0
42.0  2.150  34  2 2 -2
46.0  1.972  9  4 2 -1
56.1  1.638  11  4 2 -3
59.7  1.548  11  2 2 2
61.6  1.506  9  6 2 -2

(3)
Structure and theoretical X-ray diffraction stick pattern of MoO5 (DFT lattice parameters and positions (PBE+U); copper Kα).
Neutral-atom scattering factors, no anomalous dispersion.

Structural model:
Lattice parameters (Å, degrees): 3.9467 6.0670 7.7526 90.00 90.01 90.00
Space group Pm (No. 6)
Symmetry-distinct sites (fractional):
Mo1 0.0000 0.0000 0.0000 [1 per cell]
Mo2 0.1237 0.0000 0.4998 [1 per cell]
O1 0.0171 0.3203 0.0303 [2 per cell]
O2 0.0499 0.3205 0.4981 [2 per cell]
O3 0.0518 0.0000 0.2705 [1 per cell]
O4 0.0710 0.0000 0.7700 [1 per cell]
O5 0.1913 0.5000 0.5886 [1 per cell]
O6 0.2109 0.5000 0.9710 [1 per cell]
O7 0.5490 0.0000 0.0205 [1 per cell]
O8 0.5688 0.0000 0.5262 [1 per cell]

Peak list (12 most intense, 10° ≤ 2θ ≤ 90°, in order of rising 2θ)
2theta  d/Å  intensity  (hkl)
14.6  6.067  100  0 1 0
22.5  3.947  68  1 0 0
22.9  3.876  72  0 0 2
27.0  3.308  20  1 1 0
27.3  3.266  23  0 1 2
29.4  3.036  39  0 2 0
32.4  2.766  27  1 0 -2
37.4  2.405  13  1 2 0
37.7  2.389  15  0 2 2
44.8  2.022  11  0 3 0
46.9  1.938  11  0 0 4
56.3  1.633  14  0 2 4

(4)
Structure and theoretical X-ray diffraction stick pattern of Mo3O8 (DFT lattice parameters and positions (PBE+U); copper Kα).
Neutral-atom scattering factors, no anomalous dispersion.

Structural model:
Lattice parameters (Å, degrees): 10.8598 6.1949 10.4201 90.00 111.35 90.00
Space group C2/m (No. 12)
Symmetry-distinct sites (fractional):
Mo1 0.0014 0.2384 0.2327 [8 per cell]
Mo2 0.2460 0.0000 0.7204 [4 per cell]
O1 0.0925 0.0000 0.3544 [4 per cell]
O2 0.0941 0.5000 0.8427 [4 per cell]
O3 0.1213 0.0000 0.8665 [4 per cell]
O4 0.1224 0.2857 0.1443 [8 per cell]
O5 0.1313 0.5000 0.3685 [4 per cell]
O6 0.1325 0.2210 0.6554 [8 per cell]

Peak list (12 most intense, 10° ≤ 2θ ≤ 90°, in order of rising 2θ)
2theta  d/Å  intensity  (hkl)
17.5  5.060  40  1 1 -1
18.3  4.853  100  0 0 2
20.6  4.309  15  1 1 1
33.5  2.677  16  4 0 -2
33.9  2.642  35  2 2 0
35.5  2.530  14  4 0 0
41.1  2.195  16  4 0 -4
41.9  2.154  34  2 2 2
56.1  1.638  9  2 2 4
59.1  1.563  11  6 2 -2
62.7  1.481  9  6 2 0
75.1  1.265  8  8 0 0

(5)
Structure and theoretical X-ray diffraction stick pattern of Mo2O7 (DFT lattice parameters and positions (PBE+U); copper Kα).
Neutral-atom scattering factors, no anomalous dispersion.

Structural model:
Lattice parameters (Å, degrees): 7.4511 3.7460 9.9084 90.00 102.66 90.00
Space group P2_1/m (No. 11)
Symmetry-distinct sites (fractional):
Mo1 0.1524 0.2500 0.4199 [2 per cell]
Mo2 0.1926 0.7500 0.9854 [2 per cell]
O1 0.0136 0.2500 0.2528 [2 per cell]
O2 0.1007 0.2500 0.9673 [2 per cell]
O3 0.1110 0.7500 0.4742 [2 per cell]
O4 0.2831 0.2500 0.6450 [2 per cell]
O5 0.3107 0.7500 0.1549 [2 per cell]
O6 0.3650 0.7500 0.8945 [2 per cell]
O7 0.3744 0.2500 0.3975 [2 per cell]

Peak list (12 most intense, 10° ≤ 2θ ≤ 90°, in order of rising 2θ)
2theta  d/Å  intensity  (hkl)
12.2  7.270  76  1 0 0
18.4  4.834  76  0 0 2
24.2  3.671  35  1 0 2
24.5  3.635  18  2 0 0
27.3  3.270  34  2 0 -2
27.4  3.250  100  1 1 -1
29.2  3.055  37  1 1 1
34.2  2.623  19  2 1 -1
37.7  2.386  23  3 0 -2
48.3  1.886  21  3 1 -3
48.6  1.873  19  0 2 0
55.1  1.668  17  4 1 -1